(1)
For Nb5Ga13, a cell relaxed with GGA-PBE gives the simulated powder diffractogram in this record (Cu Kα X-rays).
Neutral-atom scattering factors, no anomalous dispersion.

Principal peaks in the range 2θ from 15° to 90°, low angle first:
39.11°, d = 2.303 Å, rel. 100, hkl 1 9 1; 40.04°, d = 2.252 Å, rel. 21, hkl 0 18 0; 47.95°, d = 1.897 Å, rel. 14, hkl 2 0 0; 48.06°, d = 1.893 Å, rel. 14, hkl 0 0 2; 64.23°, d = 1.450 Å, rel. 20, hkl 2 18 0; 72.11°, d = 1.310 Å, rel. 12, hkl 1 27 1; 83.37°, d = 1.159 Å, rel. 10, hkl 3 9 1; 83.53°, d = 1.157 Å, rel. 10, hkl 1 9 3

Atomic structure:
a = 3.7942 Å, b = 40.5373 Å, c = 3.7866 Å
α = 90.00°, β = 90.00°, γ = 90.00°
Space group Cmmm (No. 65)
One atom of each set of equivalent atoms:
Nb 0.0000 0.0000 0.0000
Nb 0.0000 0.2166 0.0000
Nb 0.0000 0.3916 0.5000
Ga 0.0000 0.0550 0.5000
Ga 0.0000 0.1117 0.0000
Ga 0.0000 0.1646 0.5000
Ga 0.0000 0.2721 0.5000
Ga 0.0000 0.3348 0.0000
Ga 0.0000 0.4452 0.0000
Ga 0.0000 0.5000 0.5000

---

(2)
For Y2Fe17, a cell relaxed with GGA-PBE gives the simulated powder diffractogram in this record (Cu Kα X-rays).
Neutral-atom scattering factors, no anomalous dispersion.

Principal peaks in the range 2θ from 15° to 90°, low angle first:
37.10°, d = 2.423 Å, rel. 36, hkl 3 0 0; 41.22°, d = 2.190 Å, rel. 30, hkl 2 0 3; 43.11°, d = 2.098 Å, rel. 59, hkl 2 2 0; 43.33°, d = 2.088 Å, rel. 100, hkl 3 0 2; 44.00°, d = 2.058 Å, rel. 35, hkl 0 0 4; 48.71°, d = 1.869 Å, rel. 46, hkl 2 2 2; 79.04°, d = 1.211 Å, rel. 18, hkl 6 0 0; 80.43°, d = 1.194 Å, rel. 19, hkl 3 0 6

Atomic structure:
a = 8.3935 Å, b = 8.3935 Å, c = 8.2324 Å
α = 90.00°, β = 90.00°, γ = 120.00°
Space group P6_3/mmc (No. 194)
One atom of each set of equivalent atoms:
Y 0.0000 0.0000 0.2500
Y 0.3333 0.6667 0.2500
Fe 0.0000 0.5000 0.0000
Fe 0.0381 0.3674 0.7500
Fe 0.1658 0.3316 0.0141
Fe 0.3333 0.6667 0.6075

---

(3)
For Ho3Te3N, a cell relaxed with GGA-PBE gives the simulated powder diffractogram in this record (Cu Kα X-rays).
Neutral-atom scattering factors, no anomalous dispersion.

Principal peaks in the range 2θ from 15° to 90°, low angle first:
27.33°, d = 3.263 Å, rel. 52, hkl 2 1 -2; 29.08°, d = 3.071 Å, rel. 93, hkl 1 3 1; 29.93°, d = 2.986 Å, rel. 100, hkl 2 1 1; 31.85°, d = 2.809 Å, rel. 42, hkl 1 2 2; 32.03°, d = 2.794 Å, rel. 85, hkl 1 1 -3; 34.97°, d = 2.566 Å, rel. 66, hkl 3 0 -2; 36.14°, d = 2.485 Å, rel. 49, hkl 3 1 0; 37.65°, d = 2.389 Å, rel. 36, hkl 2 4 -1

Atomic structure:
a = 8.0661 Å, b = 11.9331 Å, c = 8.6234 Å
α = 90.00°, β = 109.13°, γ = 90.00°
Space group P2_1/c (No. 14)
One atom of each set of equivalent atoms:
Ho 0.1017 0.0217 0.3621
Ho 0.2671 0.7093 0.1545
Ho 0.3407 0.0872 0.7952
Te 0.0091 0.2345 0.6877
Te 0.2741 0.5199 0.5851
Te 0.4530 0.1917 0.5167
N 0.1735 0.5350 0.1238

---

(4)
For Tm2Zn17, a cell relaxed with GGA-PBE gives the simulated powder diffractogram in this record (Cu Kα X-rays).
Neutral-atom scattering factors, no anomalous dispersion.

Principal peaks in the range 2θ from 15° to 90°, low angle first:
28.69°, d = 3.111 Å, rel. 29, hkl 1 1 2; 34.90°, d = 2.571 Å, rel. 41, hkl 3 0 0; 38.86°, d = 2.317 Å, rel. 37, hkl 2 0 3; 40.52°, d = 2.226 Å, rel. 58, hkl 2 2 0; 40.78°, d = 2.213 Å, rel. 100, hkl 3 0 2; 41.53°, d = 2.175 Å, rel. 31, hkl 0 0 4; 45.79°, d = 1.982 Å, rel. 24, hkl 2 2 2; 75.25°, d = 1.263 Å, rel. 20, hkl 3 0 6

Atomic structure:
a = 8.9047 Å, b = 8.9047 Å, c = 8.6985 Å
α = 90.00°, β = 90.00°, γ = 120.00°
Space group P6_3/mmc (No. 194)
One atom of each set of equivalent atoms:
Tm 0.0000 0.0000 0.2500
Tm 0.3333 0.6667 0.2500
Zn 0.0000 0.5000 0.0000
Zn 0.0361 0.3647 0.7500
Zn 0.1616 0.3231 0.0217
Zn 0.3333 0.6667 0.6000

---

(5)
For Dy2YGa3Cu2Ni, a cell relaxed with GGA-PBE gives the simulated powder diffractogram in this record (Cu Kα X-rays).
Neutral-atom scattering factors, no anomalous dispersion.

Principal peaks in the range 2θ from 15° to 90°, low angle first:
34.21°, d = 2.621 Å, rel. 100, hkl 1 0 2; 37.43°, d = 2.403 Å, rel. 83, hkl 1 2 2; 39.59°, d = 2.276 Å, rel. 33, hkl 0 5 1; 45.24°, d = 2.004 Å, rel. 14, hkl 0 3 3; 45.44°, d = 1.996 Å, rel. 26, hkl 2 0 0; 60.04°, d = 1.541 Å, rel. 17, hkl 1 7 1; 61.86°, d = 1.500 Å, rel. 14, hkl 2 4 2; 72.38°, d = 1.306 Å, rel. 15, hkl 1 7 3

Atomic structure:
a = 3.9924 Å, b = 12.0548 Å, c = 6.9377 Å
α = 90.00°, β = 90.00°, γ = 90.00°
Space group Amm2 (No. 38)
One atom of each set of equivalent atoms:
Dy 0.0000 0.2047 0.0000
Y 0.0000 0.0000 0.6148
Ga 0.5000 0.0000 0.9687
Ga 0.5000 0.1179 0.3229
Cu 0.5000 0.1677 0.7050
Ni 0.0000 0.0000 0.2030

---

(6)
For GdCdSO, a cell relaxed with GGA-PBE gives the simulated powder diffractogram in this record (Cu Kα X-rays).
Neutral-atom scattering factors, no anomalous dispersion.

Principal peaks in the range 2θ from 15° to 90°, low angle first:
28.57°, d = 3.125 Å, rel. 100, hkl 2 1 1; 29.07°, d = 3.072 Å, rel. 98, hkl 0 2 2; 29.59°, d = 3.019 Å, rel. 38, hkl 1 1 3; 32.09°, d = 2.789 Å, rel. 47, hkl 0 0 4; 36.69°, d = 2.449 Å, rel. 46, hkl 2 1 3; 38.39°, d = 2.345 Å, rel. 34, hkl 2 2 2; 45.36°, d = 1.999 Å, rel. 31, hkl 2 3 1; 53.07°, d = 1.726 Å, rel. 35, hkl 4 0 2

Atomic structure:
a = 7.2588 Å, b = 7.3590 Å, c = 11.1572 Å
α = 90.00°, β = 90.00°, γ = 90.00°
Space group Pbca (No. 61)
One atom of each set of equivalent atoms:
Gd 0.1242 0.0228 0.2148
Cd 0.0022 0.7090 0.9950
S 0.2128 0.5030 0.4406
O 0.1094 0.6969 0.1989

---

(7)
For LaHgSO, a cell relaxed with GGA-PBE gives the simulated powder diffractogram in this record (Cu Kα X-rays).
Neutral-atom scattering factors, no anomalous dispersion.

Principal peaks in the range 2θ from 15° to 90°, low angle first:
25.53°, d = 3.489 Å, rel. 55, hkl 2 0 0; 26.97°, d = 3.306 Å, rel. 42, hkl 1 0 -2; 28.08°, d = 3.178 Å, rel. 26, hkl 1 2 0; 28.37°, d = 3.146 Å, rel. 100, hkl 1 0 2; 28.48°, d = 3.134 Å, rel. 30, hkl 2 1 0; 30.42°, d = 2.938 Å, rel. 65, hkl 2 1 -1; 36.00°, d = 2.495 Å, rel. 30, hkl 2 2 0; 39.86°, d = 2.261 Å, rel. 34, hkl 0 3 1

Atomic structure:
a = 6.9898 Å, b = 7.1384 Å, c = 7.2809 Å
α = 90.00°, β = 93.47°, γ = 90.00°
Space group P2_1/c (No. 14)
One atom of each set of equivalent atoms:
La 0.0833 0.1322 0.2066
Hg 0.4723 0.6976 0.5073
S 0.2774 0.0183 0.5806
O 0.0392 0.6625 0.5976

---

(8)
For Tm2Fe4IrC4, a cell relaxed with GGA-PBE gives the simulated powder diffractogram in this record (Cu Kα X-rays).
Neutral-atom scattering factors, no anomalous dispersion.

Principal peaks in the range 2θ from 15° to 90°, low angle first:
18.70°, d = 4.745 Å, rel. 27, hkl 0 2 0; 32.97°, d = 2.717 Å, rel. 100, hkl 1 1 3; 37.92°, d = 2.373 Å, rel. 39, hkl 0 4 0; 40.69°, d = 2.218 Å, rel. 64, hkl 2 2 0; 42.83°, d = 2.111 Å, rel. 59, hkl 1 3 3; 58.52°, d = 1.577 Å, rel. 20, hkl 1 5 3; 62.54°, d = 1.485 Å, rel. 16, hkl 3 1 3; 69.17°, d = 1.358 Å, rel. 25, hkl 3 3 3

Atomic structure:
a = 5.0166 Å, b = 9.4900 Å, c = 10.3099 Å
α = 90.00°, β = 90.00°, γ = 90.00°
Space group Fmmm (No. 69)
One atom of each set of equivalent atoms:
Tm 0.0000 0.0000 0.1503
Fe 0.2500 0.2500 0.0000
Fe 0.2500 0.2500 0.2500
Ir 0.0000 0.0000 0.5000
C 0.0000 0.1668 0.3655

---

(9)
For Ba5SnMo5, a cell relaxed with GGA-PBE gives the simulated powder diffractogram in this record (Cu Kα X-rays).
Neutral-atom scattering factors, no anomalous dispersion.

Principal peaks in the range 2θ from 15° to 90°, low angle first:
23.19°, d = 3.836 Å, rel. 23, hkl 1 0 2; 29.21°, d = 3.057 Å, rel. 92, hkl 1 1 0; 29.40°, d = 3.038 Å, rel. 100, hkl 1 0 3; 37.63°, d = 2.391 Å, rel. 19, hkl 2 0 2; 38.15°, d = 2.359 Å, rel. 34, hkl 1 1 3; 51.91°, d = 1.761 Å, rel. 30, hkl 2 1 3; 60.58°, d = 1.529 Å, rel. 22, hkl 2 2 0; 83.76°, d = 1.155 Å, rel. 24, hkl 4 1 0

Atomic structure:
a = 6.1140 Å, b = 6.1140 Å, c = 11.1280 Å
α = 90.00°, β = 90.00°, γ = 120.00°
Space group P-6m2 (No. 187)
One atom of each set of equivalent atoms:
Ba 0.0000 0.0000 0.0000
Ba 0.3333 0.6667 0.1982
Ba 0.6667 0.3333 0.3272
Sn 0.6667 0.3333 0.0000
Mo 0.0000 0.0000 0.3629
Mo 0.1846 0.3692 0.5000

---

(10)
For LiNd2AgSe2O2, a cell relaxed with GGA-PBE gives the simulated powder diffractogram in this record (Cu Kα X-rays).
Neutral-atom scattering factors, no anomalous dispersion.

Principal peaks in the range 2θ from 15° to 90°, low angle first:
23.99°, d = 3.709 Å, rel. 15, hkl 1 0 1; 29.44°, d = 3.034 Å, rel. 100, hkl 1 0 2; 31.17°, d = 2.870 Å, rel. 22, hkl 1 1 0; 32.71°, d = 2.738 Å, rel. 22, hkl 1 1 1; 36.95°, d = 2.433 Å, rel. 50, hkl 1 1 2; 44.66°, d = 2.029 Å, rel. 33, hkl 2 0 0; 51.11°, d = 1.787 Å, rel. 22, hkl 1 1 4; 54.39°, d = 1.687 Å, rel. 38, hkl 2 1 2

Atomic structure:
a = 4.0584 Å, b = 4.0584 Å, c = 9.1352 Å
α = 90.00°, β = 90.00°, γ = 90.00°
Space group P-4m2 (No. 115)
One atom of each set of equivalent atoms:
Li 0.0000 0.0000 0.0000
Nd 0.0000 0.5000 0.3708
Ag 0.5000 0.5000 0.0000
Se 0.0000 0.5000 0.8100
O 0.0000 0.0000 0.5000
O 0.5000 0.5000 0.5000

---

(11)
For RbPu2Br5, a cell relaxed with GGA-PBE gives the simulated powder diffractogram in this record (Cu Kα X-rays).
Neutral-atom scattering factors, no anomalous dispersion.

Principal peaks in the range 2θ from 15° to 90°, low angle first:
25.05°, d = 3.555 Å, rel. 17, hkl 2 1 1; 30.02°, d = 2.977 Å, rel. 100, hkl 2 1 3; 34.72°, d = 2.583 Å, rel. 43, hkl 3 1 0; 38.21°, d = 2.356 Å, rel. 48, hkl 2 1 5; 47.20°, d = 1.926 Å, rel. 18, hkl 0 0 8; 59.90°, d = 1.544 Å, rel. 18, hkl 3 1 8; 63.99°, d = 1.455 Å, rel. 18, hkl 5 2 3; 68.99°, d = 1.361 Å, rel. 23, hkl 6 0 0

Atomic structure:
a = 8.1696 Å, b = 8.1696 Å, c = 15.4072 Å
α = 90.00°, β = 90.00°, γ = 90.00°
Space group I4/mcm (No. 140)
One atom of each set of equivalent atoms:
Rb 0.0000 0.0000 0.2500
Pu 0.1471 0.3529 0.0000
Br 0.0000 0.0000 0.0000
Br 0.1531 0.3469 0.3722